Computed powder diffractogram
Compound: AcLa3PmEr
Radiation: Cu Ka
Structure: a cell relaxed with GGA-PBE
No peak broadening, texture or thermal motion is included.

Top 10 peaks for 10 to 90 degrees two-theta, most intense first:
| 2theta | I/Imax |
| --- | --- |
| 29.92 | 100.0 |
| 32.21 | 57.7 |
| 33.24 | 52.8 |
| 28.99 | 49.9 |
| 31.70 | 49.6 |
| 29.48 | 35.9 |
| 28.53 | 31.8 |
| 42.83 | 25.5 |
| 52.53 | 21.3 |
| 25.28 | 18.1 |

Structural model:
Lattice parameters (Å, degrees): 10.9869 10.9869 7.1029 91.36 91.36 31.56
Fractional positions:
Ac 0.1488 0.1488 0.0329
Ac 0.8512 0.8512 0.9671
La 0.0148 0.0148 0.7477
La 0.2812 0.2812 0.7149
La 0.3414 0.3414 0.2515
La 0.6586 0.6586 0.7485
La 0.7188 0.7188 0.2851
La 0.9852 0.9852 0.2523
Pm 0.4422 0.4422 0.7153
Pm 0.5578 0.5578 0.2847
Er 0.1402 0.1402 0.4930
Er 0.8598 0.8598 0.5070